# Ho6Co2Pt
Simulated X-ray powder pattern, Cu Kα (λ = 1.5418 Å). Input: a PBE-relaxed structure.
Intensities are scaled so that the largest is 100.

Atomic structure:
```
Ho6Co2Pt
1.0
6.4594 0.0000 0.0000
0.0000 7.0174 0.0000
-5.9647 0.0000 9.9564
Ho Co Pt
12 4 2
direct
0.0787 0.1819 0.4243
0.0787 0.3181 0.9243
0.2277 0.6677 0.4148
0.2277 0.8323 0.9148
0.4140 0.0619 0.2436
0.4140 0.4381 0.7436
0.5860 0.5619 0.2564
0.5860 0.9381 0.7564
0.7723 0.1677 0.0852
0.7723 0.3323 0.5852
0.9213 0.6819 0.0757
0.9213 0.8181 0.5757
0.1896 0.1115 0.7359
0.1896 0.3885 0.2359
0.8104 0.6115 0.7641
0.8104 0.8885 0.2641
0.5000 0.0000 0.5000
0.5000 0.5000 0.0000
```

Principal peaks in the range 15 to 90 degrees two-theta, low angle first:
2θ 26.9, I 35, hkl 0 2 1; 2θ 29.7, I 39, hkl 1 0 2; 2θ 30.1, I 71, hkl 1 2 0; 2θ 30.5, I 59, hkl 2 1 -2; 2θ 30.9, I 100, hkl 1 0 -4; 2θ 31.4, I 84, hkl 2 1 -1; 2θ 33.8, I 33, hkl 1 2 1; 2θ 41.0, I 33, hkl 1 3 -1; 2θ 48.7, I 34, hkl 3 1 -5; 2θ 54.2, I 38, hkl 1 4 -1